Simulated powder diffractogram of Np2CuSe2N2 for Cu Kα (weighted mean of Kα1 and Kα2), from a structure optimized by DFT (GGA-PBE).
Intensities are scaled so that the largest is 100.

The 12 most intense peaks (2θ = 10–80°), sorted by position:
(hkl), 2θ/deg, Rel. int.
1 0 1, 28.18, 100
1 0 2, 31.52, 70
0 1 3, 36.47, 36
0 0 5, 40.66, 12
1 0 4, 42.56, 28
1 1 0, 47.68, 39
0 1 5, 49.48, 14
0 2 1, 56.31, 15
1 0 6, 57.08, 16
0 2 2, 58.27, 15
1 1 5, 64.41, 19
2 1 2, 78.50, 18

Cell lengths 3.8146, 3.8146, 11.0958 Å; angles 90.00, 90.00, 120.00 degrees
Element x y z (fractional)
Np  0.3333  0.6667  0.1267
Np  0.6667  0.3333  0.8733
Cu  0.0000  0.0000  0.5000
Se  0.0000  0.0000  0.2965
Se  0.0000  0.0000  0.7035
N  0.3333  0.6667  0.9253
N  0.6667  0.3333  0.0747